# 1
The following is a simulated powder X-ray diffraction pattern of Fe5Cu3. It was derived from a PBE-relaxed structure, using λ = 1.5418 Å (Cu Kα).
Peak positions follow from Bragg's law for the DFT cell and can differ from measured ones.

Largest 7 diffraction maxima, sorted by position, 2θ from 10° to 80°:
| Position (°2θ) | Rel. int. |
| --- | --- |
| 43.37 | 100 |
| 49.02 | 17 |
| 50.87 | 15 |
| 51.61 | 14 |
| 73.33 | 9 |
| 73.93 | 9 |
| 75.40 | 8 |

Cell and atoms:
a b c (Å): 7.084 7.433 3.590
angles (deg): 90.00 90.00 90.00
Space group Cmmm (No. 65)
Symmetry-distinct sites (fractional):
Fe1 0.000 0.000 0.000
Fe2 0.000 0.248 0.500
Fe3 0.250 0.250 0.000
Cu1 0.000 0.500 0.000
Cu2 0.247 0.500 0.500


# 2
The following is a simulated powder X-ray diffraction pattern of Co6Ni5Rh. It was derived from a PBE-relaxed structure, using λ = 1.5418 Å (Cu Kα).
Peak positions follow from Bragg's law for the DFT cell and can differ from measured ones.

Largest 10 diffraction maxima, sorted by position, 2θ from 10° to 80°:
| Position (°2θ) | Rel. int. |
| --- | --- |
| 12.25 | 1 |
| 20.80 | 1 |
| 24.65 | 1 |
| 29.39 | 1 |
| 44.10 | 100 |
| 50.55 | 16 |
| 51.79 | 30 |
| 75.17 | 5 |
| 75.32 | 14 |
| 76.28 | 9 |

Cell and atoms:
a b c (Å): 3.532 10.587 7.223
angles (deg): 90.00 90.12 90.00
Space group C2/m (No. 12)
Symmetry-distinct sites (fractional):
Co1 0.000 0.000 0.244
Co2 0.000 0.331 0.247
Ni1 0.000 0.166 0.000
Ni2 0.000 0.171 0.500
Ni3 0.000 0.500 0.000
Rh1 0.000 0.500 0.500


# 3
The following is a simulated powder X-ray diffraction pattern of LiB11. It was derived from a PBE-relaxed structure, using λ = 1.5418 Å (Cu Kα).
Peak positions follow from Bragg's law for the DFT cell and can differ from measured ones.

Largest 10 diffraction maxima, sorted by position, 2θ from 10° to 80°:
| Position (°2θ) | Rel. int. |
| --- | --- |
| 22.34 | 14 |
| 25.35 | 100 |
| 40.95 | 12 |
| 42.91 | 10 |
| 45.59 | 31 |
| 58.87 | 10 |
| 65.73 | 12 |
| 67.56 | 19 |
| 69.67 | 17 |
| 71.07 | 19 |

Cell and atoms:
a b c (Å): 4.8280 4.8280 12.9674
angles (deg): 90.00 90.00 120.00
Space group R3m (No. 160, hexagonal axes)
Symmetry-distinct sites (fractional):
Li1 0.0000 0.0000 0.0000
B1 0.0000 0.0000 0.3148
B2 0.0000 0.0000 0.5691
B3 0.0795 0.5397 0.8706
B4 0.0934 0.5467 0.4592
B5 0.2012 0.4025 0.3496


# 4
The following is a simulated powder X-ray diffraction pattern of CsSbPHPt. It was derived from a PBE-relaxed structure, using λ = 1.5418 Å (Cu Kα).
Peak positions follow from Bragg's law for the DFT cell and can differ from measured ones.

Largest 10 diffraction maxima, sorted by position, 2θ from 10° to 80°:
| Position (°2θ) | Rel. int. |
| --- | --- |
| 13.53 | 71 |
| 21.05 | 36 |
| 26.93 | 80 |
| 27.26 | 51 |
| 29.78 | 100 |
| 34.55 | 41 |
| 36.34 | 30 |
| 45.94 | 35 |
| 46.57 | 30 |
| 51.11 | 33 |

Cell and atoms:
a b c (Å): 4.610 4.267 6.767
angles (deg): 90.00 104.81 90.00
Space group Pm (No. 6)
Symmetry-distinct sites (fractional):
Cs1 0.000 0.000 0.000
Sb1 0.689 0.500 0.412
P1 0.240 0.500 0.636
H1 0.049 0.000 0.533
Pt1 0.406 0.000 0.540


# 5
The following is a simulated powder X-ray diffraction pattern of Nd6Fe13Sb. It was derived from a PBE-relaxed structure, using λ = 1.5418 Å (Cu Kα).
Peak positions follow from Bragg's law for the DFT cell and can differ from measured ones.

Largest 10 diffraction maxima, sorted by position, 2θ from 10° to 80°:
| Position (°2θ) | Rel. int. |
| --- | --- |
| 27.26 | 74 |
| 31.35 | 100 |
| 31.94 | 34 |
| 34.48 | 31 |
| 35.21 | 85 |
| 38.03 | 56 |
| 38.51 | 41 |
| 42.90 | 44 |
| 46.62 | 42 |
| 50.63 | 39 |

Cell and atoms:
a b c (Å): 8.060 8.060 23.388
angles (deg): 90.00 90.00 90.00
Space group I4/mcm (No. 140)
Symmetry-distinct sites (fractional):
Nd1 0.000 0.000 0.104
Nd2 0.163 0.337 0.185
Fe1 0.000 0.500 0.000
Fe2 0.067 0.209 0.500
Fe3 0.114 0.386 0.406
Fe4 0.179 0.321 0.059
Sb1 0.000 0.000 0.250


# 6
The following is a simulated powder X-ray diffraction pattern of Sr2DyNi9. It was derived from a PBE-relaxed structure, using λ = 1.5418 Å (Cu Kα).
Peak positions follow from Bragg's law for the DFT cell and can differ from measured ones.

Largest 10 diffraction maxima, sorted by position, 2θ from 10° to 80°:
| Position (°2θ) | Rel. int. |
| --- | --- |
| 10.59 | 18 |
| 32.34 | 35 |
| 35.26 | 34 |
| 35.64 | 38 |
| 41.55 | 37 |
| 41.87 | 100 |
| 42.04 | 18 |
| 43.31 | 18 |
| 68.28 | 22 |
| 75.48 | 21 |

Cell and atoms:
a b c (Å): 5.0383 5.0383 25.0682
angles (deg): 90.00 90.00 120.00
Space group R-3m (No. 166, hexagonal axes)
Symmetry-distinct sites (fractional):
Sr1 0.0000 0.0000 0.1403
Dy1 0.0000 0.0000 0.0000
Ni1 0.0000 0.0000 0.3323
Ni2 0.0000 0.0000 0.5000
Ni3 0.0036 0.5018 0.0773